No. 1
Simulated powder diffraction line list
Compound: Tm2USe6
Radiation: copper Kα
Structure: a cell relaxed with PBE
Kinematic intensities with the Lorentz-polarization factor, no thermal factor.

Top 10 peaks for 10 to 90 degrees two-theta, in order of falling intensity:
19.00 deg, d = 4.671 Å, rel. 100, (1 1 0); 37.51 deg, d = 2.398 Å, rel. 91, (2 1 3); 46.82 deg, d = 1.940 Å, rel. 47, (3 0 3); 25.55 deg, d = 3.487 Å, rel. 44, (1 0 3); 28.96 deg, d = 3.083 Å, rel. 36, (1 1 3); 38.55 deg, d = 2.335 Å, rel. 34, (2 2 0); 76.80 deg, d = 1.241 Å, rel. 21, (3 3 6); 60.01 deg, d = 1.542 Å, rel. 19, (2 2 6); 81.99 deg, d = 1.175 Å, rel. 18, (5 2 3); 48.44 deg, d = 1.879 Å, rel. 18, (1 1 6)

Cell lengths 6.605, 6.605, 12.316 Å; angles 90.00, 90.00, 90.00 degrees
Space group P4_2/mnm (No. 136)
Unique sites:
1 Tm 0.000 0.000 0.164 (multiplicity 4)
2 U 0.000 0.000 0.500 (multiplicity 2)
3 Se 0.195 0.195 0.339 (multiplicity 8)
4 Se 0.207 0.207 0.000 (multiplicity 4)


No. 2
Simulated powder diffraction line list
Compound: Ho4ErN4
Radiation: copper Kα
Structure: a cell relaxed with PBE
Kinematic intensities with the Lorentz-polarization factor, no thermal factor.

Top 10 peaks for 10 to 90 degrees two-theta, in order of falling intensity:
31.65 deg, d = 2.827 Å, rel. 100, (1 2 1); 52.90 deg, d = 1.731 Å, rel. 45, (3 1 2); 36.67 deg, d = 2.450 Å, rel. 44, (3 1 0); 62.91 deg, d = 1.477 Å, rel. 28, (5 0 1); 36.79 deg, d = 2.443 Å, rel. 22, (0 0 2); 66.11 deg, d = 1.413 Å, rel. 15, (2 4 2); 63.07 deg, d = 1.474 Å, rel. 15, (1 2 3); 89.45 deg, d = 1.096 Å, rel. 13, (6 2 2); 86.73 deg, d = 1.123 Å, rel. 12, (5 0 3); 89.69 deg, d = 1.093 Å, rel. 7, (3 1 4)

Cell lengths 7.749, 7.749, 4.886 Å; angles 90.00, 90.00, 90.00 degrees
Space group I4/m (No. 87)
Unique sites:
1 Ho 0.109 0.689 0.000 (multiplicity 8)
2 Er 0.000 0.000 0.500 (multiplicity 2)
3 N 0.098 0.703 0.500 (multiplicity 8)